Entry 1:
Diffraction record for LiFePCO7. The powder X-ray diffraction pattern is simulated, not measured: it uses the PBE+U geometry in Alexandria and Cu Ka.
No peak broadening, texture or thermal motion is included.

Structural model:
```
LiFePCO7
1.0
5.1721 0.0000 0.0000
0.3848 6.3168 0.0000
0.2148 0.4618 8.9166
Li Fe P C O
2 2 2 2 14
Cartesian
1.2079 3.0365 2.0146 Li
4.5638 3.7421 6.9020 Li
1.9514 5.0799 5.7669 Fe
3.8203 1.6987 3.1497 Fe
1.2529 1.9073 5.0765 P
4.5188 4.8713 3.8401 P
1.6858 4.9942 8.2810 C
4.0859 1.7844 0.6357 C
0.6838 5.2559 7.4893 O
0.8260 5.1657 4.2148 O
1.2764 3.1370 6.0158 O
1.3495 4.4161 0.6065 O
1.8698 0.6974 5.7910 O
2.0416 2.2387 3.7641 O
2.8213 4.8632 7.6662 O
2.9504 1.9154 1.2504 O
3.7301 4.5398 5.1526 O
3.9020 6.0811 3.1256 O
4.4222 2.3625 8.3101 O
4.4953 3.6416 2.9008 O
4.9457 1.6128 4.7018 O
5.0879 1.5227 1.4273 O
```

Most intense lines, 15 to 90 degrees two-theta, most intense first:
hkl  2theta  d_spacing  intensity
0 2 0  28.29  3.154  1000
1 0 1  19.69  4.508  778
0 1 1  16.79  5.280  740
1 0 -1  20.06  4.427  716
1 0 -2  26.69  3.340  619
-2 1 2  43.69  2.072  381
1 1 1  23.34  3.812  357
0 1 -1  17.64  5.029  354
1 0 2  26.14  3.409  316
1 2 1  33.37  2.685  258

Entry 2:
Diffraction record for LiFePCO7. The powder X-ray diffraction pattern is simulated, not measured: it uses the PBE+U geometry in Alexandria and Cu Ka.
No peak broadening, texture or thermal motion is included.

Structural model:
```
LiFePCO7
1.0
5.1092 0.0000 0.0000
-0.3594 6.2654 0.0000
-0.2737 -0.7918 8.8415
Li Fe P C O
2 2 2 2 14
Cartesian
0.0000 0.0000 0.0000 Li
1.8865 3.2132 4.0909 Li
1.9726 4.1723 7.4539 Fe
4.1581 1.1501 4.9546 Fe
1.5557 1.0309 6.9309 P
4.4556 4.3424 5.5873 P
1.9526 4.7924 1.3534 C
4.7767 1.5067 2.5379 C
-0.0562 1.5091 1.3134 O
0.0658 1.2801 6.5622 O
0.5287 1.7435 3.4817 O
0.7890 4.8223 0.8076 O
0.8581 3.9993 5.8007 O
1.6125 -0.2557 7.8130 O
2.0597 4.3945 2.5494 O
2.0502 2.2511 7.7349 O
2.3863 0.8139 5.6468 O
2.9595 5.1482 0.6349 O
3.5824 1.2304 2.9686 O
3.7108 3.1455 4.9531 O
3.8009 4.6288 6.9899 O
4.3065 5.5504 4.6615 O
```

Most intense lines, 15 to 90 degrees two-theta, most intense first:
hkl  2theta  d_spacing  intensity
0 2 0  28.61  3.120  1000
1 0 1  20.42  4.349  728
1 0 -2  26.20  3.401  614
1 0 -1  19.79  4.487  612
0 1 -1  16.64  5.327  416
0 1 1  18.12  4.897  354
1 -2 1  33.69  2.661  280
1 -3 0  46.12  1.968  263
1 -1 0  21.84  4.070  257
1 -1 1  23.80  3.739  254

Entry 3:
Diffraction record for LiFePCO7. The powder X-ray diffraction pattern is simulated, not measured: it uses the PBE+U geometry in Alexandria and Cu Ka.
No peak broadening, texture or thermal motion is included.

Structural model:
```
LiFePCO7
1.0
5.3498 0.0000 0.0000
0.0000 6.4016 0.0000
-0.5824 0.0000 8.5738
Li Fe P C O
2 2 2 2 14
Cartesian
1.0995 0.0000 2.5662 Li
3.6680 3.2008 6.0076 Li
0.6125 4.3744 7.2972 Fe
4.1550 1.1736 1.2766 Fe
0.9103 1.1404 7.9780 P
3.8571 4.3412 0.5958 P
1.0505 4.4393 4.8036 C
3.7169 1.2384 3.7703 C
-0.1521 4.3314 5.2715 O
0.7134 1.0613 0.7530 O
0.5097 2.3823 7.1613 O
0.5950 6.3159 7.1079 O
1.3014 4.7257 3.6061 O
2.3396 4.3932 0.2589 O
1.9923 4.2828 5.6946 O
2.7752 1.0820 2.8792 O
2.4279 1.1924 8.3149 O
3.4660 1.5249 4.9677 O
4.1724 3.1151 1.4659 O
4.2578 5.5831 1.4125 O
4.0540 4.2621 7.8208 O
4.9195 1.1306 3.3023 O
```

Most intense lines, 15 to 90 degrees two-theta, most intense first:
hkl  2theta  d_spacing  intensity
0 2 0  27.87  3.201  1000
0 1 1  17.29  5.130  847
1 0 1  20.18  4.399  666
1 0 -1  18.98  4.676  619
1 0 -2  25.76  3.459  608
1 1 1  24.55  3.626  358
1 1 0  21.68  4.100  322
2 0 -1  34.55  2.596  314
2 0 0  33.58  2.669  253
1 0 2  27.56  3.237  242

Number 2 is which compound?
LiFePCO7